The following is a simulated powder X-ray diffraction pattern of Na2LiP3H8O13. It was derived from a crystal structure in Alexandria, relaxed with GGA-PBE, using Cu Kα X-rays.
No peak broadening, texture or thermal motion is included.

Largest 8 diffraction maxima, by angle, 10 to 90 degrees two-theta:
- (1 -1 0), 2θ 14.06, d = 6.297 Å, I 1000
- (0 2 0), 2θ 19.89, d = 4.465 Å, I 288
- (2 0 -1), 2θ 27.05, d = 3.296 Å, I 272
- (0 1 -3), 2θ 28.22, d = 3.162 Å, I 422
- (2 -2 0), 2θ 28.36, d = 3.147 Å, I 422
- (1 1 -3), 2θ 29.38, d = 3.040 Å, I 316
- (0 3 -1), 2θ 29.82, d = 2.996 Å, I 714
- (0 1 3), 2θ 31.64, d = 2.828 Å, I 320

Structure:
Cell: 6.957 9.564 9.958 Å, 94.86 104.44 108.44°
Fractional positions:
Na: 0.060 0.448 0.340
Na: 0.311 0.836 0.535
Na: 0.689 0.164 0.465
Na: 0.940 0.552 0.660
Li: 0.126 0.239 0.111
Li: 0.874 0.761 0.889
P: 0.227 0.207 0.529
P: 0.311 0.269 0.834
P: 0.427 0.515 0.682
P: 0.573 0.485 0.318
P: 0.689 0.731 0.166
P: 0.773 0.793 0.471
H: 0.041 0.955 0.142
H: 0.072 0.720 0.209
H: 0.191 0.065 0.283
H: 0.247 0.720 0.960
H: 0.247 0.816 0.843
H: 0.294 0.708 0.231
H: 0.411 0.061 0.181
H: 0.463 0.047 0.823
H: 0.537 0.953 0.177
H: 0.589 0.939 0.819
H: 0.706 0.292 0.769
H: 0.753 0.184 0.157
H: 0.753 0.280 0.040
H: 0.809 0.935 0.717
H: 0.928 0.280 0.791
H: 0.959 0.045 0.858
O: 0.032 0.227 0.443
O: 0.148 0.740 0.881
O: 0.153 0.054 0.179
O: 0.154 0.230 0.918
O: 0.181 0.697 0.278
O: 0.188 0.167 0.679
O: 0.268 0.577 0.605
O: 0.313 0.098 0.470
O: 0.336 0.437 0.806
O: 0.344 0.392 0.257
O: 0.422 0.367 0.584
O: 0.443 0.942 0.789
O: 0.477 0.749 0.116
O: 0.523 0.251 0.884
O: 0.557 0.058 0.211
O: 0.578 0.633 0.416
O: 0.656 0.608 0.743
O: 0.664 0.563 0.194
O: 0.687 0.902 0.530
O: 0.732 0.423 0.395
O: 0.812 0.833 0.321
O: 0.819 0.303 0.722
O: 0.846 0.770 0.082
O: 0.847 0.946 0.821
O: 0.852 0.260 0.119
O: 0.968 0.773 0.557